Starting from DFT lattice parameters and positions (GGA-PBE), the X-ray powder pattern of PrInPt4 was simulated for a wavelength of 1.5418 Å.

Structure:
```
PrInPt4
1.0
0.000 3.868 3.868
3.868 0.000 3.868
3.868 3.868 0.000
Pr In Pt
1 1 4
Direct
0.000 0.000 0.000
0.750 0.750 0.750
0.376 0.376 0.376
0.376 0.376 0.873
0.376 0.873 0.376
0.873 0.376 0.376
```

Top 9 peaks for 5° ≤ 2θ ≤ 70°, sorted by position:
Position (°2θ), d_spacing, I/Imax
19.88, 4.467, 21.7
32.74, 2.735, 16.4
38.60, 2.333, 100.0
40.38, 2.233, 54.0
46.98, 1.934, 11.7
51.49, 1.775, 5.8
58.44, 1.579, 6.1
62.36, 1.489, 32.9
68.62, 1.368, 30.5